Structure and simulated powder XRD pattern of Li2PaV3O8 (the GGA+U geometry in Alexandria; copper Kα).

Main lines, by angle (2θ = 5–70°):
- 17.39 deg, I 100
- 19.11 deg, I 80
- 20.62 deg, I 93
- 28.21 deg, I 39
- 30.41 deg, I 45
- 33.33 deg, I 89
- 34.30 deg, I 71
- 36.17 deg, I 40
- 48.65 deg, I 60
- 55.29 deg, I 38

Structure:
a = 5.909 Å, b = 5.909 Å, c = 5.909 Å
α = 64.74°, β = 64.74°, γ = 64.74°
Fractional coordinates of all 14 atoms:
Li: 0.000 0.000 0.000
Li: 0.371 0.371 0.371
Pa: 0.790 0.790 0.790
V: 0.369 0.369 0.878
V: 0.369 0.878 0.369
V: 0.878 0.369 0.369
O: 0.085 0.085 0.605
O: 0.085 0.605 0.085
O: 0.131 0.131 0.131
O: 0.173 0.596 0.596
O: 0.596 0.173 0.596
O: 0.596 0.596 0.173
O: 0.605 0.085 0.085
O: 0.630 0.630 0.630